# Tl2In4Pb9
Simulated XRD peak list, CuKα. Input: a DFT-relaxed cell (PBE, Alexandria).
Lines closer than 0.1° are merged.

Peak list (6 most intense, 2θ = 15–90°, in order of rising 2θ)
2θ/deg  d [Å]  I_rel
31.12  2.874  100
31.22  2.865  99
31.34  2.855  98
31.46  2.844  97
35.06  2.559  73
36.44  2.466  67

Structural model:
Cell lengths 9.1535, 10.8188, 11.0222 Å; angles 107.83, 96.28, 114.19 degrees
Fractional coordinates of all 30 atoms:
Tl (0.0482, 0.1503, 0.1509)
Tl (0.0809, 0.9131, 0.5833)
Tl (0.9191, 0.0869, 0.4167)
Tl (0.9518, 0.8497, 0.8491)
In (0.2521, 0.7496, 0.7468)
In (0.2850, 0.5191, 0.1797)
In (0.3846, 0.8176, 0.4849)
In (0.4175, 0.5810, 0.9170)
In (0.5825, 0.4190, 0.0830)
In (0.6154, 0.1824, 0.5151)
In (0.7150, 0.4809, 0.8203)
In (0.7479, 0.2504, 0.2532)
Pb (0.0181, 0.3855, 0.7185)
Pb (0.1200, 0.6823, 0.0125)
Pb (0.1529, 0.4574, 0.4483)
Pb (0.1894, 0.2263, 0.8884)
Pb (0.2226, 0.9800, 0.3183)
Pb (0.3244, 0.2880, 0.6191)
Pb (0.3585, 0.0550, 0.0520)
Pb (0.4517, 0.3519, 0.3466)
Pb (0.4834, 0.1182, 0.7820)
Pb (0.5166, 0.8818, 0.2180)
Pb (0.5483, 0.6481, 0.6534)
Pb (0.6415, 0.9450, 0.9480)
Pb (0.6756, 0.7120, 0.3809)
Pb (0.7774, 0.0200, 0.6817)
Pb (0.8106, 0.7737, 0.1116)
Pb (0.8472, 0.5426, 0.5517)
Pb (0.8800, 0.3177, 0.9875)
Pb (0.9819, 0.6145, 0.2815)

# BC3
Simulated XRD peak list, CuKα. Input: a DFT-relaxed cell (PBE, Alexandria).
Lines closer than 0.1° are merged.

Peak list (6 most intense, 2θ = 15–90°, in order of rising 2θ)
2θ/deg  d [Å]  I_rel
24.52  3.630  5
42.70  2.117  100
71.80  1.315  14
72.08  1.310  13
75.00  1.266  12
84.48  1.147  8

Structural model:
Cell lengths 5.6925, 5.6925, 3.5934 Å; angles 90.00, 90.00, 140.38 degrees
Fractional coordinates of all 12 atoms:
B (0.0000, 0.0000, 0.0000)
B (0.1642, 0.8358, 0.5000)
B (0.8358, 0.1642, 0.5000)
C (0.0000, 0.5000, 0.7602)
C (0.1902, 0.3567, 0.2489)
C (0.3324, 0.6676, 0.0000)
C (0.3567, 0.1902, 0.7511)
C (0.5000, 0.0000, 0.2398)
C (0.5000, 0.5000, 0.5000)
C (0.6433, 0.8098, 0.7511)
C (0.6676, 0.3324, 0.0000)
C (0.8098, 0.6433, 0.2489)

# Y2Ho2Tc
Simulated XRD peak list, CuKα. Input: a DFT-relaxed cell (PBE, Alexandria).
Lines closer than 0.1° are merged.

Peak list (6 most intense, 2θ = 15–90°, in order of rising 2θ)
2θ/deg  d [Å]  I_rel
28.21  3.163  43
29.80  2.998  34
31.08  2.877  100
31.44  2.845  69
33.16  2.702  67
41.47  2.178  37

Structural model:
Cell lengths 7.0569, 7.0569, 7.3324 Å; angles 104.40, 104.40, 116.38 degrees
Fractional coordinates of all 10 atoms:
Y (0.2272, 0.2272, 0.3973)
Y (0.2608, 0.2608, 0.9106)
Y (0.7392, 0.7392, 0.0894)
Y (0.7728, 0.7728, 0.6027)
Ho (0.2269, 0.6762, 0.2476)
Ho (0.3238, 0.7731, 0.7524)
Ho (0.6762, 0.2269, 0.2476)
Ho (0.7731, 0.3238, 0.7524)
Tc (0.1293, 0.8707, 0.0000)
Tc (0.8707, 0.1293, 0.0000)

# NaLiCrCl6
Simulated XRD peak list, CuKα. Input: a DFT-relaxed cell (PBE, Alexandria).
Lines closer than 0.1° are merged.

Peak list (6 most intense, 2θ = 15–90°, in order of rising 2θ)
2θ/deg  d [Å]  I_rel
16.18  5.480  45
21.86  4.067  50
31.90  2.805  100
41.23  2.190  54
46.32  1.960  20
49.93  1.827  28

Structural model:
Cell lengths 6.3273, 6.3273, 6.0671 Å; angles 90.00, 90.00, 120.00 degrees
Fractional coordinates of all 9 atoms:
Na (0.0000, 0.0000, 0.0000)
Li (0.3333, 0.6667, 0.5000)
Cr (0.6667, 0.3333, 0.5000)
Cl (0.3771, 0.0268, 0.7197)
Cl (0.3771, 0.3503, 0.2803)
Cl (0.6497, 0.0268, 0.2803)
Cl (0.6497, 0.6229, 0.7197)
Cl (0.9732, 0.3503, 0.7197)
Cl (0.9732, 0.6229, 0.2803)

# Te
Simulated XRD peak list, CuKα. Input: a DFT-relaxed cell (PBE, Alexandria).
Lines closer than 0.1° are merged.

Peak list (6 most intense, 2θ = 15–90°, in order of rising 2θ)
2θ/deg  d [Å]  I_rel
22.45  3.960  86
22.78  3.903  87
28.58  3.124  100
32.48  2.757  71
36.75  2.445  49
43.80  2.067  62

Structural model:
Cell lengths 3.1238, 4.2089, 5.8601 Å; angles 70.20, 89.95, 89.71 degrees
Fractional coordinates of all 2 atoms:
Te (0.9997, 0.1296, 0.2437)
Te (0.0003, 0.8704, 0.7563)